This entry pairs a crystal structure of BaEuDyVO6 with its simulated X-ray powder pattern. Radiation: Cu Kα (λ = 1.5418 Å). Structure: a structure optimized by DFT (PBE+U).

```
10
Lattice="0.000 4.136 4.136 4.136 0.000 4.136 4.136 4.136 0.000" Properties=species:S:1:pos:R:3 pbc="T T T"
Ba 0.000 0.000 0.000
Eu 4.136 4.136 4.136
Dy 6.204 6.204 6.204
V 2.068 2.068 2.068
O 2.068 2.068 0.153
O 2.068 0.153 2.068
O 3.983 2.068 2.068
O 0.153 2.068 2.068
O 2.068 3.983 2.068
O 2.068 2.068 3.983
```

Peak list (10 most intense, 2θ = 15–90°, in order of falling intensity)
30.57°, intensity 100; 54.33°, intensity 39; 43.78°, intensity 30; 88.45°, intensity 22; 63.64°, intensity 18; 72.24°, intensity 18; 18.58°, intensity 10; 36.01°, intensity 8; 80.44°, intensity 6; 37.67°, intensity 5